(1)
Diffraction record for La2AlNi3Pt12. The powder X-ray diffraction pattern is computed, not measured: it uses a DFT-relaxed cell (GGA-PBE, Alexandria) and Cu Ka.
Neutral-atom scattering factors, no anomalous dispersion.

Peak list (10 most intense, 2θ = 10–90°, low angle first)
d = 3.989 Å, 2θ = 22.3°, intensity 21; d = 3.402 Å, 2θ = 26.2°, intensity 12; d = 2.820 Å, 2θ = 31.7°, intensity 100; d = 1.997 Å, 2θ = 45.4°, intensity 53; d = 1.992 Å, 2θ = 45.5°, intensity 53; d = 1.630 Å, 2θ = 56.5°, intensity 20; d = 1.410 Å, 2θ = 66.3°, intensity 17; d = 1.263 Å, 2θ = 75.3°, intensity 17; d = 1.260 Å, 2θ = 75.4°, intensity 17; d = 1.152 Å, 2θ = 84.0°, intensity 27

Structural model:
```
data_La2AlNi3Pt12
_symmetry_space_group_name_H-M 'R -3 m'
_symmetry_Int_Tables_number 166
_symmetry_space_group_name_Hall '-R 3 2"'
_cell_length_a 7.9876
_cell_length_b 7.9876
_cell_length_c 19.4901
_cell_angle_alpha 90.00
_cell_angle_beta 90.00
_cell_angle_gamma 120.00
loop_
_atom_site_label
_atom_site_fract_x
_atom_site_fract_y
_atom_site_fract_z
La1 0.0000 0.0000 0.1216
Al1 0.0000 0.0000 0.5000
Ni1 0.0000 0.5000 0.0000
Pt1 0.0003 0.5002 0.1251
Pt2 0.0040 0.5020 0.3739
```

---

(2)
Diffraction record for La2AlNiPt6. The powder X-ray diffraction pattern is computed, not measured: it uses a DFT-relaxed cell (GGA-PBE, Alexandria) and Cu Ka.
Neutral-atom scattering factors, no anomalous dispersion.

Peak list (10 most intense, 2θ = 10–90°, low angle first)
d = 6.049 Å, 2θ = 14.6°, intensity 22; d = 4.218 Å, 2θ = 21.1°, intensity 39; d = 3.132 Å, 2θ = 28.5°, intensity 29; d = 3.108 Å, 2θ = 28.7°, intensity 34; d = 3.068 Å, 2θ = 29.1°, intensity 38; d = 3.024 Å, 2θ = 29.5°, intensity 38; d = 2.318 Å, 2θ = 38.9°, intensity 100; d = 2.290 Å, 2θ = 39.4°, intensity 53; d = 2.202 Å, 2θ = 41.0°, intensity 55; d = 2.038 Å, 2θ = 44.5°, intensity 21

Structural model:
```
data_La2AlNiPt6
_symmetry_space_group_name_H-M 'C 1 2/m 1'
_symmetry_Int_Tables_number 12
_symmetry_space_group_name_Hall '-C 2y'
_cell_length_a 12.1088
_cell_length_b 5.4525
_cell_length_c 8.4370
_cell_angle_alpha 90.00
_cell_angle_beta 133.33
_cell_angle_gamma 90.00
loop_
_atom_site_label
_atom_site_fract_x
_atom_site_fract_y
_atom_site_fract_z
La1 0.2425 0.0000 0.2022
Al1 0.0000 0.0000 0.5000
Ni1 0.0000 0.5000 0.0000
Pt1 0.0032 0.2511 0.7523
Pt2 0.2503 0.0000 0.6018
```

---

(3)
Diffraction record for La6Al3Ni4SnRu. The powder X-ray diffraction pattern is computed, not measured: it uses a DFT-relaxed cell (GGA-PBE, Alexandria) and Cu Ka.
Neutral-atom scattering factors, no anomalous dispersion.

Peak list (10 most intense, 2θ = 10–90°, low angle first)
d = 3.805 Å, 2θ = 23.4°, intensity 22; d = 3.154 Å, 2θ = 28.3°, intensity 16; d = 2.986 Å, 2θ = 29.9°, intensity 100; d = 2.782 Å, 2θ = 32.2°, intensity 18; d = 2.538 Å, 2θ = 35.4°, intensity 70; d = 2.409 Å, 2θ = 37.3°, intensity 63; d = 2.138 Å, 2θ = 42.3°, intensity 28; d = 2.099 Å, 2θ = 43.1°, intensity 21; d = 1.599 Å, 2θ = 57.7°, intensity 35; d = 1.555 Å, 2θ = 59.5°, intensity 18

Structural model:
```
data_La6Al3Ni4SnRu
_symmetry_space_group_name_H-M 'P -6 m 2'
_symmetry_Int_Tables_number 187
_symmetry_space_group_name_Hall 'P -6 2'
_cell_length_a 9.6358
_cell_length_b 9.6358
_cell_length_c 4.2754
_cell_angle_alpha 90.00
_cell_angle_beta 90.00
_cell_angle_gamma 120.00
loop_
_atom_site_label
_atom_site_fract_x
_atom_site_fract_y
_atom_site_fract_z
La1 0.0139 0.5070 0.0000
La2 0.1259 0.2518 0.5000
Al1 0.4758 0.2379 0.5000
Ni1 0.3142 0.1571 0.0000
Ni2 0.6667 0.3333 0.0000
Sn1 0.3333 0.6667 0.5000
Ru1 0.0000 0.0000 0.0000
```

---

(4)
Diffraction record for La2AlZn3Ni12. The powder X-ray diffraction pattern is computed, not measured: it uses a DFT-relaxed cell (GGA-PBE, Alexandria) and Cu Ka.
Neutral-atom scattering factors, no anomalous dispersion.

Peak list (10 most intense, 2θ = 10–90°, low angle first)
d = 2.870 Å, 2θ = 31.2°, intensity 100; d = 2.743 Å, 2θ = 32.6°, intensity 36; d = 2.624 Å, 2θ = 34.2°, intensity 40; d = 2.482 Å, 2θ = 36.2°, intensity 46; d = 2.440 Å, 2θ = 36.8°, intensity 53; d = 2.309 Å, 2θ = 39.0°, intensity 58; d = 1.971 Å, 2θ = 46.1°, intensity 68; d = 1.627 Å, 2θ = 56.6°, intensity 38; d = 1.581 Å, 2θ = 58.3°, intensity 33; d = 1.523 Å, 2θ = 60.8°, intensity 41

Structural model:
```
data_La2AlZn3Ni12
_symmetry_space_group_name_H-M 'R -3 m'
_symmetry_Int_Tables_number 166
_symmetry_space_group_name_Hall '-R 3 2"'
_cell_length_a 6.0925
_cell_length_b 6.0925
_cell_length_c 25.6864
_cell_angle_alpha 90.00
_cell_angle_beta 90.00
_cell_angle_gamma 120.00
loop_
_atom_site_label
_atom_site_fract_x
_atom_site_fract_y
_atom_site_fract_z
La1 0.0000 0.0000 0.1577
Al1 0.0000 0.0000 0.5000
Zn1 0.0000 0.5000 0.0000
Ni1 0.0582 0.5291 0.0950
Ni2 0.0746 0.5373 0.6148
```

---

(5)
Diffraction record for La4Al3O10. The powder X-ray diffraction pattern is computed, not measured: it uses a DFT-relaxed cell (GGA-PBE, Alexandria) and Cu Ka.
Neutral-atom scattering factors, no anomalous dispersion.

Peak list (10 most intense, 2θ = 10–90°, low angle first)
d = 3.761 Å, 2θ = 23.7°, intensity 39; d = 3.490 Å, 2θ = 25.5°, intensity 18; d = 2.750 Å, 2θ = 32.6°, intensity 100; d = 2.684 Å, 2θ = 33.4°, intensity 59; d = 2.128 Å, 2θ = 42.5°, intensity 44; d = 1.994 Å, 2θ = 45.5°, intensity 14; d = 1.898 Å, 2θ = 47.9°, intensity 36; d = 1.601 Å, 2θ = 57.6°, intensity 16; d = 1.562 Å, 2θ = 59.1°, intensity 38; d = 1.375 Å, 2θ = 68.2°, intensity 16

Structural model:
```
data_La4Al3O10
_symmetry_space_group_name_H-M 'I 4/m m m'
_symmetry_Int_Tables_number 139
_symmetry_space_group_name_Hall '-I 4 2'
_cell_length_a 3.7960
_cell_length_b 3.7960
_cell_length_c 27.9228
_cell_angle_alpha 90.00
_cell_angle_beta 90.00
_cell_angle_gamma 90.00
loop_
_atom_site_label
_atom_site_fract_x
_atom_site_fract_y
_atom_site_fract_z
La1 0.0000 0.0000 0.0683
La2 0.0000 0.0000 0.2040
Al1 0.0000 0.0000 0.3628
Al2 0.0000 0.0000 0.5000
O1 0.0000 0.0000 0.2924
O2 0.0000 0.0000 0.4317
O3 0.0000 0.5000 0.0000
O4 0.0000 0.5000 0.1360
```

---

(6)
Diffraction record for La4Al2O9. The powder X-ray diffraction pattern is computed, not measured: it uses a DFT-relaxed cell (GGA-PBE, Alexandria) and Cu Ka.
Neutral-atom scattering factors, no anomalous dispersion.

Peak list (10 most intense, 2θ = 10–90°, low angle first)
d = 4.875 Å, 2θ = 18.2°, intensity 46; d = 4.223 Å, 2θ = 21.0°, intensity 100; d = 4.184 Å, 2θ = 21.2°, intensity 60; d = 3.747 Å, 2θ = 23.7°, intensity 89; d = 3.238 Å, 2θ = 27.6°, intensity 49; d = 3.225 Å, 2θ = 27.7°, intensity 60; d = 3.007 Å, 2θ = 29.7°, intensity 78; d = 2.948 Å, 2θ = 30.3°, intensity 80; d = 2.783 Å, 2θ = 32.2°, intensity 42; d = 2.565 Å, 2θ = 35.0°, intensity 41

Structural model:
```
data_La4Al2O9
_symmetry_space_group_name_H-M 'P 1'
_symmetry_Int_Tables_number 1
_symmetry_space_group_name_Hall 'P 1'
_cell_length_a 5.5821
_cell_length_b 6.4135
_cell_length_c 7.5220
_cell_angle_alpha 89.92
_cell_angle_beta 85.68
_cell_angle_gamma 89.46
loop_
_atom_site_label
_atom_site_fract_x
_atom_site_fract_y
_atom_site_fract_z
La1 0.0000 0.0000 0.0000
La2 0.0094 0.8275 0.5168
La3 0.5522 0.5106 0.8542
La4 0.5888 0.2656 0.3444
Al1 0.0759 0.3455 0.5598
Al2 0.0848 0.4685 0.1333
O1 0.2183 0.7016 0.0554
O2 0.2505 0.1165 0.5173
O3 0.2742 0.5378 0.6284
O4 0.3057 0.2703 0.0840
O5 0.7859 0.2825 0.6485
O6 0.8023 0.9741 0.2803
O7 0.8035 0.7993 0.7894
O8 0.8179 0.3622 0.0578
O9 0.9870 0.4817 0.3635
```

---

(7)
Diffraction record for La4Al2O9. The powder X-ray diffraction pattern is computed, not measured: it uses a DFT-relaxed cell (GGA-PBE, Alexandria) and Cu Ka.
Neutral-atom scattering factors, no anomalous dispersion.

Peak list (10 most intense, 2θ = 10–90°, low angle first)
d = 7.767 Å, 2θ = 11.4°, intensity 20; d = 4.877 Å, 2θ = 18.2°, intensity 28; d = 3.440 Å, 2θ = 25.9°, intensity 21; d = 3.237 Å, 2θ = 27.6°, intensity 100; d = 3.096 Å, 2θ = 28.8°, intensity 20; d = 3.061 Å, 2θ = 29.2°, intensity 30; d = 3.032 Å, 2θ = 29.5°, intensity 54; d = 2.691 Å, 2θ = 33.3°, intensity 20; d = 2.130 Å, 2θ = 42.4°, intensity 17; d = 1.991 Å, 2θ = 45.6°, intensity 20

Structural model:
```
data_La4Al2O9
_symmetry_space_group_name_H-M 'P 1 21/c 1'
_symmetry_Int_Tables_number 14
_symmetry_space_group_name_Hall '-P 2ybc'
_cell_length_a 7.9635
_cell_length_b 11.1213
_cell_length_c 11.5264
_cell_angle_alpha 90.00
_cell_angle_beta 109.70
_cell_angle_gamma 90.00
loop_
_atom_site_label
_atom_site_fract_x
_atom_site_fract_y
_atom_site_fract_z
La1 0.0240 0.0956 0.2904
La2 0.1673 0.6253 0.5734
La3 0.3375 0.1265 0.9175
La4 0.4731 0.5828 0.1899
Al1 0.1506 0.1916 0.6220
Al2 0.2728 0.6937 0.8693
O1 0.0640 0.7396 0.8796
O2 0.0706 0.0088 0.8985
O3 0.1391 0.2263 0.4698
O4 0.2026 0.0419 0.6752
O5 0.2695 0.7195 0.2382
O6 0.2786 0.5416 0.8268
O7 0.2822 0.2173 0.2464
O8 0.4167 0.7325 0.0175
O9 0.4249 0.0000 0.1056
```

---

(8)
Diffraction record for LaPr12Al4O3. The powder X-ray diffraction pattern is computed, not measured: it uses a DFT-relaxed cell (GGA-PBE, Alexandria) and Cu Ka.
Neutral-atom scattering factors, no anomalous dispersion.

Peak list (10 most intense, 2θ = 10–90°, low angle first)
d = 5.120 Å, 2θ = 17.3°, intensity 49; d = 2.956 Å, 2θ = 30.2°, intensity 100; d = 2.560 Å, 2θ = 35.1°, intensity 76; d = 2.290 Å, 2θ = 39.4°, intensity 22; d = 1.810 Å, 2θ = 50.4°, intensity 52; d = 1.707 Å, 2θ = 53.7°, intensity 11; d = 1.544 Å, 2θ = 59.9°, intensity 39; d = 1.478 Å, 2θ = 62.9°, intensity 17; d = 1.175 Å, 2θ = 82.0°, intensity 14; d = 1.145 Å, 2θ = 84.7°, intensity 20

Structural model:
```
data_LaPr12Al4O3
_symmetry_space_group_name_H-M 'I m -3 m'
_symmetry_Int_Tables_number 229
_symmetry_space_group_name_Hall '-I 4 2 3'
_cell_length_a 10.2396
_cell_length_b 10.2396
_cell_length_c 10.2396
_cell_angle_alpha 90.00
_cell_angle_beta 90.00
_cell_angle_gamma 90.00
loop_
_atom_site_label
_atom_site_fract_x
_atom_site_fract_y
_atom_site_fract_z
La1 0.0000 0.0000 0.0000
Pr1 0.0000 0.0000 0.2717
Pr2 0.0000 0.2500 0.5000
Al1 0.2500 0.2500 0.2500
O1 0.0000 0.0000 0.5000
```

---

(9)
Diffraction record for La4AlSnO. The powder X-ray diffraction pattern is computed, not measured: it uses a DFT-relaxed cell (GGA-PBE, Alexandria) and Cu Ka.
Neutral-atom scattering factors, no anomalous dispersion.

Peak list (10 most intense, 2θ = 10–90°, low angle first)
d = 3.191 Å, 2θ = 28.0°, intensity 100; d = 2.929 Å, 2θ = 30.5°, intensity 33; d = 2.845 Å, 2θ = 31.4°, intensity 28; d = 2.701 Å, 2θ = 33.2°, intensity 63; d = 2.421 Å, 2θ = 37.1°, intensity 58; d = 1.866 Å, 2θ = 48.8°, intensity 35; d = 1.712 Å, 2θ = 53.5°, intensity 20; d = 1.509 Å, 2θ = 61.5°, intensity 22; d = 1.478 Å, 2θ = 62.9°, intensity 16; d = 1.446 Å, 2θ = 64.4°, intensity 19

Structural model:
```
data_La4AlSnO
_symmetry_space_group_name_H-M 'C m c m'
_symmetry_Int_Tables_number 63
_symmetry_space_group_name_Hall '-C 2c 2'
_cell_length_a 6.8525
_cell_length_b 17.5742
_cell_length_c 6.8452
_cell_angle_alpha 90.00
_cell_angle_beta 90.00
_cell_angle_gamma 90.00
loop_
_atom_site_label
_atom_site_fract_x
_atom_site_fract_y
_atom_site_fract_z
La1 0.0000 0.0615 0.2500
La2 0.0000 0.4210 0.2500
La3 0.2500 0.2500 0.0000
Al1 0.0000 0.1180 0.7500
Sn1 0.0000 0.3896 0.7500
O1 0.0000 0.2745 0.2500
```

---

(10)
Diffraction record for Sr3LaTaAl3O12. The powder X-ray diffraction pattern is computed, not measured: it uses a DFT-relaxed cell (GGA-PBE, Alexandria) and Cu Ka.
Neutral-atom scattering factors, no anomalous dispersion.

Peak list (10 most intense, 2θ = 10–90°, low angle first)
d = 7.753 Å, 2θ = 11.4°, intensity 25; d = 5.477 Å, 2θ = 16.2°, intensity 19; d = 3.500 Å, 2θ = 25.4°, intensity 19; d = 2.757 Å, 2θ = 32.5°, intensity 100; d = 2.746 Å, 2θ = 32.6°, intensity 24; d = 2.736 Å, 2θ = 32.7°, intensity 24; d = 1.961 Å, 2θ = 46.3°, intensity 19; d = 1.938 Å, 2θ = 46.9°, intensity 35; d = 1.595 Å, 2θ = 57.8°, intensity 20; d = 1.379 Å, 2θ = 68.0°, intensity 21

Structural model:
```
data_Sr3LaTaAl3O12
_symmetry_space_group_name_H-M 'A m m 2'
_symmetry_Int_Tables_number 38
_symmetry_space_group_name_Hall 'A 2 -2'
_cell_length_a 3.9223
_cell_length_b 10.9451
_cell_length_c 10.9845
_cell_angle_alpha 90.00
_cell_angle_beta 90.00
_cell_angle_gamma 90.00
loop_
_atom_site_label
_atom_site_fract_x
_atom_site_fract_y
_atom_site_fract_z
Sr1 0.0000 0.0000 0.0000
Sr2 0.0000 0.2392 0.7651
La1 0.0000 0.0000 0.5292
Ta1 0.5000 0.0000 0.2613
Al1 0.5000 0.0000 0.7665
Al2 0.5000 0.2500 0.0133
O1 0.0000 0.0000 0.2667
O2 0.0000 0.0000 0.7594
O3 0.0000 0.2431 0.5149
O4 0.5000 0.1205 0.6358
O5 0.5000 0.1242 0.3931
O6 0.5000 0.1258 0.8885
O7 0.5000 0.1285 0.1373
```